1.
KRb5NaHg: computed XRD peak list (a wavelength of 1.5418 Å), based on a DFT-relaxed cell (GGA-PBE, Alexandria).
No peak broadening, texture or thermal motion is included.

Crystal structure
Lattice parameters (Å, degrees): 10.0725 10.0725 12.5672 90.97 90.97 118.23
Element x y z (fractional)
K 0.0843 0.9157 0.7500
K 0.9157 0.0843 0.2500
Rb 0.1185 0.7089 0.4028
Rb 0.2417 0.3050 0.9872
Rb 0.2911 0.8815 0.0972
Rb 0.3050 0.2417 0.4872
Rb 0.3331 0.6669 0.7500
Rb 0.6669 0.3331 0.2500
Rb 0.6950 0.7583 0.5128
Rb 0.7089 0.1185 0.9028
Rb 0.7583 0.6950 0.0128
Rb 0.8815 0.2911 0.5972
Na 0.4100 0.5900 0.2500
Na 0.5900 0.4100 0.7500
Hg 0.0000 0.5000 0.0000
Hg 0.5000 0.0000 0.5000

Top 12 peaks for 2θ = 5–70°, by intensity:
| 2θ/deg | d/Å | I/Imax |
| --- | --- | --- |
| 23.23 | 3.828 | 1000 |
| 22.64 | 3.927 | 976 |
| 25.01 | 3.560 | 670 |
| 27.11 | 3.289 | 643 |
| 12.39 | 7.146 | 577 |
| 14.10 | 6.280 | 516 |
| 10.23 | 8.644 | 513 |
| 12.05 | 7.345 | 475 |
| 28.05 | 3.181 | 459 |
| 26.89 | 3.315 | 405 |
| 27.54 | 3.239 | 345 |
| 21.91 | 4.057 | 289 |

=====

2.
AcDy5Er12: computed XRD peak list (a wavelength of 1.5418 Å), based on a DFT-relaxed cell (GGA-PBE, Alexandria).
No peak broadening, texture or thermal motion is included.

Crystal structure
Lattice parameters (Å, degrees): 10.2629 10.2629 5.9043 90.20 90.20 113.21
Element x y z (fractional)
Ac 0.0000 0.0000 0.0000
Dy 0.1653 0.8347 0.5000
Dy 0.3252 0.6748 0.0000
Dy 0.5000 0.5000 0.5000
Dy 0.6748 0.3252 0.0000
Dy 0.8347 0.1653 0.5000
Er 0.0173 0.3510 0.9441
Er 0.1597 0.4962 0.4471
Er 0.1852 0.1852 0.5377
Er 0.3380 0.3380 0.0397
Er 0.3510 0.0173 0.9441
Er 0.4962 0.1597 0.4471
Er 0.5038 0.8403 0.5529
Er 0.6490 0.9827 0.0559
Er 0.6620 0.6620 0.9603
Er 0.8148 0.8148 0.4623
Er 0.8403 0.5038 0.5529
Er 0.9827 0.6490 0.0559

Top 12 peaks for 2θ = 5–70°, by intensity:
| 2θ/deg | d/Å | I/Imax |
| --- | --- | --- |
| 32.33 | 2.769 | 1000 |
| 32.18 | 2.781 | 987 |
| 31.32 | 2.856 | 591 |
| 30.27 | 2.952 | 513 |
| 56.34 | 1.633 | 403 |
| 44.12 | 2.053 | 357 |
| 35.12 | 2.555 | 226 |
| 58.73 | 1.572 | 170 |
| 48.34 | 1.883 | 155 |
| 55.19 | 1.664 | 140 |
| 54.90 | 1.672 | 124 |
| 67.67 | 1.384 | 91 |